Starting from a GGA+U-relaxed structure, the PXRD pattern of Tl2Mo3SeO12 was computed for CuKα.
Intensities are scaled so that the largest is 100.

a b c (Å): 7.3847 7.3847 12.4525
angles (deg): 90.00 90.00 120.00
Sites, in units of the cell vectors:
1 Tl 0.3333 0.6667 0.0000
2 Tl 0.3333 0.6667 0.4199
3 Tl 0.6667 0.3333 0.5000
4 Tl 0.6667 0.3333 0.9199
5 Mo 0.1395 0.3387 0.6825
6 Mo 0.1992 0.8605 0.6825
7 Mo 0.3387 0.1395 0.1825
8 Mo 0.6613 0.8008 0.6825
9 Mo 0.8008 0.6613 0.1825
10 Mo 0.8605 0.1992 0.1825
11 Se 0.0000 0.0000 0.4541
12 Se 0.0000 0.0000 0.9541
13 O 0.0875 0.5478 0.6360
14 O 0.1204 0.8712 0.1942
15 O 0.1216 0.8738 0.5125
16 O 0.1262 0.2478 0.5125
17 O 0.1288 0.2491 0.1942
18 O 0.1978 0.4055 0.8177
19 O 0.2077 0.8022 0.8177
20 O 0.2478 0.1262 0.0125
21 O 0.2491 0.1288 0.6942
22 O 0.4055 0.1978 0.3177
23 O 0.4522 0.5397 0.6360
24 O 0.4603 0.9125 0.6360
25 O 0.5397 0.4522 0.1360
26 O 0.5478 0.0875 0.1360
27 O 0.5945 0.7923 0.8177
28 O 0.7509 0.8796 0.1942
29 O 0.7522 0.8784 0.5125
30 O 0.7923 0.5945 0.3177
31 O 0.8022 0.2077 0.3177
32 O 0.8712 0.1204 0.6942
33 O 0.8738 0.1216 0.0125
34 O 0.8784 0.7522 0.0125
35 O 0.8796 0.7509 0.6942
36 O 0.9125 0.4603 0.1360

Most intense lines, 10 to 90 degrees two-theta, sorted by position:
- d = 3.692 Å, I = 31
- d = 3.482 Å, I = 37
- d = 3.176 Å, I = 100
- d = 3.113 Å, I = 17
- d = 3.097 Å, I = 36
- d = 2.321 Å, I = 15
- d = 2.089 Å, I = 15
- d = 2.017 Å, I = 26
- d = 1.965 Å, I = 22
- d = 1.846 Å, I = 23
- d = 1.587 Å, I = 16
- d = 1.362 Å, I = 15